# PmSm5Er2Tm
Calculated powder diffractogram, Cu Kα. Input: a GGA-PBE-relaxed structure.
Intensities are scaled so that the largest is 1000.

Cell and atoms:
```
data_PmSm5Er2Tm
_chemical_formula_sum 'Pm4 Sm20 Er8 Tm4'
_symmetry_space_group_name_H-M 'C m c 21'
_symmetry_Int_Tables_number 36
_symmetry_space_group_name_Hall 'C 2c -2'
_cell_length_a 5.6134
_cell_length_b 20.1952
_cell_length_c 10.6827
_cell_angle_alpha 90.00
_cell_angle_beta 90.00
_cell_angle_gamma 90.00
loop_
_atom_site_label
_atom_site_type_symbol
_atom_site_fract_x
_atom_site_fract_y
_atom_site_fract_z
_atom_site_occupancy
Pm1 Pm 0.0000 0.2009 0.0000 1
Sm1 Sm 0.0000 0.0165 0.0124 1
Sm2 Sm 0.0000 0.2815 0.2978 1
Sm3 Sm 0.0000 0.2984 0.6953 1
Sm4 Sm 0.0000 0.3913 0.0143 1
Sm5 Sm 0.0000 0.4802 0.7319 1
Er1 Er 0.0000 0.1098 0.7289 1
Er2 Er 0.0000 0.1152 0.3058 1
Tm1 Tm 0.0000 0.4107 0.4493 1
```

Main lines, in order of rising 2θ (15° ≤ 2θ ≤ 90°):
2θ (°)  Rel. int.  (hkl)
27.79  140  0 6 1
30.05  315  1 1 3
31.89  374  2 0 0
32.03  1000  1 5 2
33.56  127  0 0 4
56.91  198  3 5 2